(1)
# Tb3Sc2Tl2
Calculated XRD peak list, Cu Kα, 1.54184 Å. Input: a structure optimized by DFT (PBE).
Kinematic intensities with the Lorentz-polarization factor, no thermal factor.

Cell and atoms:
Lattice parameters (Å, degrees): 3.592 5.031 21.491 90.00 90.00 90.00
Atoms (fractional coordinates):
1 Tb 0.000 0.000 0.000
2 Tb 0.000 0.500 0.201
3 Tb 0.000 0.500 0.799
4 Tb 0.500 0.000 0.299
5 Tb 0.500 0.000 0.701
6 Tb 0.500 0.500 0.500
7 Sc 0.000 0.000 0.430
8 Sc 0.000 0.000 0.570
9 Sc 0.500 0.500 0.070
10 Sc 0.500 0.500 0.930
11 Tl 0.000 0.500 0.355
12 Tl 0.000 0.500 0.645
13 Tl 0.500 0.000 0.145
14 Tl 0.500 0.000 0.855

Principal peaks in the range 15° ≤ 2θ ≤ 90°, in order of falling intensity:
2θ = 34.2°, I 100
2θ = 31.7°, I 97
2θ = 35.7°, I 50
2θ = 32.5°, I 48
2θ = 30.6°, I 35
2θ = 62.7°, I 35
2θ = 34.9°, I 34
2θ = 49.0°, I 30
2θ = 18.1°, I 28
2θ = 24.9°, I 25

***

(2)
# Sm8PPt3Se4
Calculated XRD peak list, Cu Kα, 1.54184 Å. Input: a structure optimized by DFT (PBE).
Kinematic intensities with the Lorentz-polarization factor, no thermal factor.

Cell and atoms:
Lattice parameters (Å, degrees): 8.537 8.537 8.537 57.67 57.67 57.67
Atoms (fractional coordinates):
1 Sm 0.244 0.244 0.244
2 Sm 0.246 0.745 0.745
3 Sm 0.255 0.255 0.754
4 Sm 0.255 0.754 0.255
5 Sm 0.745 0.246 0.745
6 Sm 0.745 0.745 0.246
7 Sm 0.754 0.255 0.255
8 Sm 0.756 0.756 0.756
9 P 0.500 0.500 0.500
10 Pt 0.000 0.000 0.500
11 Pt 0.000 0.500 0.000
12 Pt 0.500 0.000 0.000
13 Se 0.000 0.000 0.000
14 Se 0.000 0.500 0.500
15 Se 0.500 0.000 0.500
16 Se 0.500 0.500 0.000

Principal peaks in the range 15° ≤ 2θ ≤ 90°, in order of falling intensity:
2θ = 30.2°, I 100
2θ = 42.4°, I 39
2θ = 44.0°, I 36
2θ = 54.3°, I 19
2θ = 70.0°, I 17
2θ = 72.3°, I 16
2θ = 79.8°, I 12
2θ = 62.8°, I 12
2θ = 51.6°, I 7
2θ = 76.5°, I 6

***

(3)
# Sr2Cd7Sn
Calculated XRD peak list, Cu Kα, 1.54184 Å. Input: a structure optimized by DFT (PBE).
Kinematic intensities with the Lorentz-polarization factor, no thermal factor.

Cell and atoms:
Lattice parameters (Å, degrees): 4.652 4.652 12.785 90.00 90.00 90.00
Atoms (fractional coordinates):
1 Sr 0.000 0.500 0.249
2 Sr 0.500 0.000 0.751
3 Cd 0.000 0.000 0.000
4 Cd 0.000 0.000 0.500
5 Cd 0.000 0.500 0.640
6 Cd 0.000 0.500 0.858
7 Cd 0.500 0.000 0.142
8 Cd 0.500 0.000 0.360
9 Cd 0.500 0.500 0.500
10 Sn 0.500 0.500 0.000

Principal peaks in the range 15° ≤ 2θ ≤ 90°, in order of falling intensity:
2θ = 30.6°, I 100
2θ = 38.7°, I 59
2θ = 39.3°, I 47
2θ = 28.4°, I 35
2θ = 40.2°, I 33
2θ = 57.1°, I 23
2θ = 65.1°, I 22
2θ = 55.9°, I 20
2θ = 20.3°, I 17
2θ = 70.5°, I 16

***

- Which formula does entry 1 have?
  Tb3Sc2Tl2